1.
Theoretical X-ray diffraction stick pattern
Compound: CePrO4
Radiation: Cu Kα, 1.54184 Å
Structure: DFT lattice parameters and positions (GGA-PBE)

Most intense lines, 10° ≤ 2θ ≤ 90°, by angle:
two_theta  d_spacing  Rel. int.
27.6  3.228  100
32.2  2.781  19
45.8  1.982  37
46.2  1.967  18
54.0  1.699  16
54.6  1.679  30

```
data_CePrO4
_chemical_formula_sum 'Ce1 Pr1 O4'
_cell_length_a 3.933
_cell_length_b 3.933
_cell_length_c 5.652
_cell_angle_alpha 90.00
_cell_angle_beta 90.00
_cell_angle_gamma 90.00
_symmetry_space_group_name_H-M 'P 4/m m m'
_symmetry_Int_Tables_number 123
_symmetry_space_group_name_Hall '-P 4 2'
loop_
_atom_site_label
_atom_site_type_symbol
_atom_site_fract_x
_atom_site_fract_y
_atom_site_fract_z
Ce1 Ce 0.000 0.000 0.000
Pr1 Pr 0.500 0.500 0.500
O1 O 0.000 0.500 0.237
```

2.
Theoretical X-ray diffraction stick pattern
Compound: Ba2CaTeO6
Radiation: Cu Kα, 1.54184 Å
Structure: DFT lattice parameters and positions (GGA-PBE)

Most intense lines, 10° ≤ 2θ ≤ 90°, by angle:
two_theta  d_spacing  Rel. int.
29.7  3.008  100
42.5  2.127  32
52.7  1.737  39
61.7  1.504  19
69.9  1.345  18
85.4  1.137  21

```
data_Ba2CaTeO6
_chemical_formula_sum 'Ba8 Ca4 Te4 O24'
_cell_length_a 8.509
_cell_length_b 8.509
_cell_length_c 8.509
_cell_angle_alpha 90.00
_cell_angle_beta 90.00
_cell_angle_gamma 90.00
_symmetry_space_group_name_H-M 'F m -3 m'
_symmetry_Int_Tables_number 225
_symmetry_space_group_name_Hall '-F 4 2 3'
loop_
_atom_site_label
_atom_site_type_symbol
_atom_site_fract_x
_atom_site_fract_y
_atom_site_fract_z
Ba1 Ba 0.250 0.250 0.250
Ca1 Ca 0.000 0.000 0.000
Te1 Te 0.000 0.000 0.500
O1 O 0.000 0.000 0.270
```

3.
Theoretical X-ray diffraction stick pattern
Compound: U6Cu3Ni3Sb8
Radiation: Cu Kα, 1.54184 Å
Structure: DFT lattice parameters and positions (GGA-PBE)

Most intense lines, 10° ≤ 2θ ≤ 90°, by angle:
two_theta  d_spacing  Rel. int.
22.9  3.879  17
29.7  3.007  51
29.8  3.001  17
35.3  2.540  100
42.5  2.127  23
42.6  2.123  24

```
data_U6Cu3Ni3Sb8
_chemical_formula_sum 'U12 Cu6 Ni6 Sb16'
_cell_length_a 13.437
_cell_length_b 9.497
_cell_length_c 9.488
_cell_angle_alpha 90.00
_cell_angle_beta 134.86
_cell_angle_gamma 90.00
_symmetry_space_group_name_H-M 'C 1 2 1'
_symmetry_Int_Tables_number 5
loop_
_symmetry_equiv_pos_as_xyz
'x,y,z'
'-x,y,-z'
'x+1/2,y+1/2,z'
'-x+1/2,y+1/2,-z'
loop_
_atom_site_label
_atom_site_type_symbol
_atom_site_fract_x
_atom_site_fract_y
_atom_site_fract_z
U1 U 0.000 0.000 0.000
U2 U 0.000 0.239 0.500
U3 U 0.122 0.621 0.866
U4 U 0.245 0.870 0.618
Cu1 Cu 0.000 0.494 0.000
Cu2 Cu 0.250 0.369 0.875
Ni1 Ni 0.000 0.745 0.500
Ni2 Ni 0.125 0.119 0.375
Sb1 Sb 0.082 0.285 0.915
Sb2 Sb 0.082 0.954 0.748
Sb3 Sb 0.166 0.537 0.582
Sb4 Sb 0.167 0.702 0.252
```